Simulated X-ray diffraction stick pattern of K4Cd for Cu Kα (weighted mean of Kα1 and Kα2), from the GGA-PBE geometry in Alexandria.
Intensities are scaled so that the largest is 100.

Most intense lines, 15 to 90 degrees two-theta, most intense first:
d (Å), two_theta, I/Imax
3.035, 29.43, 100.0
3.504, 25.42, 48.8
1.752, 52.21, 35.3
2.294, 39.28, 30.5
2.714, 33.00, 24.8
2.146, 42.11, 17.5
1.683, 54.51, 16.9
1.147, 84.46, 16.0
2.023, 44.80, 15.5
1.357, 69.23, 14.1

```
data_K4Cd
_symmetry_space_group_name_H-M 'I m -3 m'
_symmetry_Int_Tables_number 229
_symmetry_space_group_name_Hall '-I 4 2 3'
_cell_length_a 8.583
_cell_length_b 8.583
_cell_length_c 8.583
_cell_angle_alpha 90.00
_cell_angle_beta 90.00
_cell_angle_gamma 90.00
loop_
_atom_site_label
_atom_site_type_symbol
_atom_site_fract_x
_atom_site_fract_y
_atom_site_fract_z
_atom_site_occupancy
K1 K 0.250 0.250 0.250 1
Cd1 Cd 0.000 0.000 0.000 1
```